Record 1
Theoretical powder diffraction line list
Compound: Tc3Ir2Rh6
Radiation: CuKα
Structure: a DFT-relaxed cell (GGA-PBE, Alexandria)
Intensities are scaled so that the largest is 100.

Main lines, by angle (2θ = 10–80°):
d (Å), I (rel.)
2.231, 33
2.222, 100
1.931, 21
1.924, 43
1.361, 14
1.359, 13

Structural model:
```
data_Tc3Ir2Rh6
_cell_length_a 4.7153
_cell_length_b 6.0843
_cell_length_c 6.0877
_cell_angle_alpha 107.28
_cell_angle_beta 97.18
_cell_angle_gamma 104.94
_symmetry_space_group_name_H-M 'P -1'
_symmetry_Int_Tables_number 2
loop_
_symmetry_equiv_pos_as_xyz
'x,y,z'
'-x,-y,-z'
loop_
_atom_site_label
_atom_site_type_symbol
_atom_site_fract_x
_atom_site_fract_y
_atom_site_fract_z
Tc1 Tc 0.0000 0.0000 0.0000
Tc2 Tc 0.0896 0.3628 0.8179
Ir1 Ir 0.2659 0.0845 0.4485
Rh1 Rh 0.1774 0.7256 0.6346
Rh2 Rh 0.3573 0.4487 0.2615
Rh3 Rh 0.4533 0.8169 0.0898
```

---

Record 2
Theoretical powder diffraction line list
Compound: TcIrRh3
Radiation: CuKα
Structure: a DFT-relaxed cell (GGA-PBE, Alexandria)
Intensities are scaled so that the largest is 100.

Main lines, by angle (2θ = 10–80°):
d (Å), I (rel.)
2.713, 71
2.681, 82
2.634, 61
2.111, 78
1.907, 100
1.879, 83

Structural model:
```
data_TcIrRh3
_cell_length_a 8.9527
_cell_length_b 2.6805
_cell_length_c 6.5166
_cell_angle_alpha 90.00
_cell_angle_beta 90.00
_cell_angle_gamma 90.00
_symmetry_space_group_name_H-M 'P m m a'
_symmetry_Int_Tables_number 51
loop_
_symmetry_equiv_pos_as_xyz
'x,y,z'
'-x,-y,-z'
'-x+1/2,-y,z'
'x+1/2,y,-z'
'x+1/2,-y,-z'
'-x+1/2,y,z'
'-x,y,-z'
'x,-y,z'
loop_
_atom_site_label
_atom_site_type_symbol
_atom_site_fract_x
_atom_site_fract_y
_atom_site_fract_z
Tc1 Tc 0.2500 0.0000 0.0876
Ir1 Ir 0.2500 0.5000 0.7418
Rh1 Rh 0.0000 0.5000 0.0000
Rh2 Rh 0.1074 0.5000 0.3831
```

---

Record 3
Theoretical powder diffraction line list
Compound: Tc3IrRh
Radiation: CuKα
Structure: a DFT-relaxed cell (GGA-PBE, Alexandria)
Intensities are scaled so that the largest is 100.

Main lines, by angle (2θ = 10–80°):
d (Å), I (rel.)
3.840, 35
3.422, 27
2.241, 45
2.177, 36
2.047, 100
1.812, 23

Structural model:
```
data_Tc3IrRh
_cell_length_a 4.6392
_cell_length_b 4.6392
_cell_length_c 26.1223
_cell_angle_alpha 90.00
_cell_angle_beta 90.00
_cell_angle_gamma 120.00
_symmetry_space_group_name_H-M 'R 3 c'
_symmetry_Int_Tables_number 161
_symmetry_space_group_name_Hall 'R 3 -2"c'
loop_
_atom_site_label
_atom_site_type_symbol
_atom_site_fract_x
_atom_site_fract_y
_atom_site_fract_z
Tc1 Tc 0.0006 0.3453 0.0000
Ir1 Ir 0.0000 0.0000 0.0805
Rh1 Rh 0.0000 0.0000 0.4193
```

---

Record 4
Theoretical powder diffraction line list
Compound: VTcIrRh
Radiation: CuKα
Structure: a DFT-relaxed cell (GGA-PBE, Alexandria)
Intensities are scaled so that the largest is 100.

Main lines, by angle (2θ = 10–80°):
d (Å), I (rel.)
3.832, 21
2.711, 18
2.213, 100
1.918, 32
1.913, 16
1.356, 20

Structural model:
```
data_VTcIrRh
_cell_length_a 3.8270
_cell_length_b 3.8339
_cell_length_c 3.8378
_cell_angle_alpha 90.00
_cell_angle_beta 90.00
_cell_angle_gamma 90.00
_symmetry_space_group_name_H-M 'P m m m'
_symmetry_Int_Tables_number 47
loop_
_symmetry_equiv_pos_as_xyz
'x,y,z'
'-x,-y,-z'
'-x,-y,z'
'x,y,-z'
'x,-y,-z'
'-x,y,z'
'-x,y,-z'
'x,-y,z'
loop_
_atom_site_label
_atom_site_type_symbol
_atom_site_fract_x
_atom_site_fract_y
_atom_site_fract_z
V1 V 0.0000 0.0000 0.0000
Tc1 Tc 0.0000 0.5000 0.5000
Ir1 Ir 0.5000 0.0000 0.5000
Rh1 Rh 0.5000 0.5000 0.0000
```

---

Record 5
Theoretical powder diffraction line list
Compound: Th4Te2IrRh
Radiation: CuKα
Structure: a DFT-relaxed cell (GGA-PBE, Alexandria)
Intensities are scaled so that the largest is 100.

Main lines, by angle (2θ = 10–80°):
d (Å), I (rel.)
7.695, 21
3.083, 100
3.065, 48
2.260, 47
2.109, 19
2.095, 38

Structural model:
```
data_Th4Te2IrRh
_cell_length_a 7.2408
_cell_length_b 4.2183
_cell_length_c 8.0612
_cell_angle_alpha 90.00
_cell_angle_beta 107.33
_cell_angle_gamma 90.00
_symmetry_space_group_name_H-M 'P 1 2/m 1'
_symmetry_Int_Tables_number 10
loop_
_symmetry_equiv_pos_as_xyz
'x,y,z'
'-x,-y,-z'
'-x,y,-z'
'x,-y,z'
loop_
_atom_site_label
_atom_site_type_symbol
_atom_site_fract_x
_atom_site_fract_y
_atom_site_fract_z
Th1 Th 0.2353 0.0000 0.2023
Th2 Th 0.2623 0.5000 0.7972
Te1 Te 0.0000 0.0000 0.5000
Te2 Te 0.5000 0.5000 0.5000
Ir1 Ir 0.0000 0.5000 0.0000
Rh1 Rh 0.5000 0.0000 0.0000
```

---

Record 6
Theoretical powder diffraction line list
Compound: Th2Ir2Rh
Radiation: CuKα
Structure: a DFT-relaxed cell (GGA-PBE, Alexandria)
Intensities are scaled so that the largest is 100.

Main lines, by angle (2θ = 10–80°):
d (Å), I (rel.)
2.611, 100
2.581, 40
2.470, 35
2.017, 23
1.982, 20
1.976, 22

Structural model:
```
data_Th2Ir2Rh
_cell_length_a 4.0338
_cell_length_b 6.7996
_cell_length_c 7.9299
_cell_angle_alpha 90.00
_cell_angle_beta 90.00
_cell_angle_gamma 90.00
_symmetry_space_group_name_H-M 'I m m m'
_symmetry_Int_Tables_number 71
_symmetry_space_group_name_Hall '-I 2 2'
loop_
_atom_site_label
_atom_site_type_symbol
_atom_site_fract_x
_atom_site_fract_y
_atom_site_fract_z
Th1 Th 0.0000 0.0000 0.2361
Ir1 Ir 0.0000 0.3068 0.5000
Rh1 Rh 0.0000 0.5000 0.0000
```